[1]
Starting from a structure optimized by DFT (GGA-PBE), the powder X-ray diffraction pattern of Cu3AgSe3 was calculated for Cu Kα, 1.54184 Å.
Lines closer than 0.1° are merged.

Cell and atoms:
Cell: 7.987 7.987 7.987 Å, 49.97 49.97 49.97°
Atoms (fractional coordinates):
Cu1 0.133 0.470 0.794
Cu2 0.206 0.867 0.530
Cu3 0.470 0.794 0.133
Cu4 0.530 0.206 0.867
Cu5 0.794 0.133 0.470
Cu6 0.867 0.530 0.206
Ag1 0.334 0.334 0.334
Ag2 0.666 0.666 0.666
Se1 0.082 0.753 0.416
Se2 0.247 0.584 0.918
Se3 0.416 0.082 0.753
Se4 0.584 0.918 0.247
Se5 0.753 0.416 0.082
Se6 0.918 0.247 0.584

Peak list (6 most intense, 2θ = 15–90°, sorted by position)
| 2theta | I/Imax |
| --- | --- |
| 29.4 | 100 |
| 37.1 | 80 |
| 46.6 | 90 |
| 47.5 | 78 |
| 68.8 | 25 |
| 87.2 | 26 |

***

[2]
Starting from a structure optimized by DFT (GGA-PBE), the powder X-ray diffraction pattern of Tl2CuAgSe4 was calculated for Cu Kα, 1.54184 Å.
Lines closer than 0.1° are merged.

Cell and atoms:
Cell: 8.589 12.360 6.072 Å, 90.00 134.99 90.00°
Atoms (fractional coordinates):
Tl1 0.000 0.000 0.000
Tl2 0.000 0.250 0.500
Tl3 0.500 0.500 0.000
Tl4 0.500 0.750 0.500
Cu1 0.000 0.501 0.000
Cu2 0.500 0.001 0.000
Ag1 0.000 0.750 0.500
Ag2 0.500 0.250 0.500
Se1 0.221 0.618 0.454
Se2 0.233 0.382 0.013
Se3 0.267 0.882 0.987
Se4 0.279 0.118 0.546
Se5 0.721 0.118 0.454
Se6 0.733 0.882 0.013
Se7 0.767 0.382 0.987
Se8 0.779 0.618 0.546

Peak list (6 most intense, 2θ = 15–90°, sorted by position)
| 2theta | I/Imax |
| --- | --- |
| 25.3 | 100 |
| 41.7 | 47 |
| 42.1 | 22 |
| 49.0 | 16 |
| 49.7 | 30 |
| 76.6 | 14 |

***

[3]
Starting from a structure optimized by DFT (GGA-PBE), the powder X-ray diffraction pattern of ZrCuAg2Se was calculated for Cu Kα, 1.54184 Å.
Lines closer than 0.1° are merged.

Cell and atoms:
Cell: 4.752 4.752 4.641 Å, 90.00 90.00 90.00°
Atoms (fractional coordinates):
Zr1 0.000 0.000 0.000
Cu1 0.500 0.500 0.500
Ag1 0.000 0.500 0.500
Ag2 0.500 0.000 0.500
Se1 0.500 0.500 0.000

Peak list (6 most intense, 2θ = 15–90°, sorted by position)
| 2theta | I/Imax |
| --- | --- |
| 32.9 | 100 |
| 37.9 | 68 |
| 38.8 | 32 |
| 54.6 | 23 |
| 55.3 | 43 |
| 65.3 | 26 |

***

[4]
Starting from a structure optimized by DFT (GGA-PBE), the powder X-ray diffraction pattern of Cu2SiAg was calculated for Cu Kα, 1.54184 Å.
Lines closer than 0.1° are merged.

Cell and atoms:
Cell: 5.439 7.312 2.792 Å, 90.00 90.00 90.00°
Atoms (fractional coordinates):
Cu1 0.250 0.250 0.000
Cu2 0.250 0.750 0.000
Cu3 0.750 0.250 0.000
Cu4 0.750 0.750 0.000
Si1 0.000 0.000 0.500
Si2 0.500 0.500 0.500
Ag1 0.000 0.500 0.500
Ag2 0.500 0.000 0.500

Peak list (6 most intense, 2θ = 15–90°, sorted by position)
| 2theta | I/Imax |
| --- | --- |
| 20.4 | 48 |
| 40.6 | 100 |
| 41.4 | 87 |
| 46.6 | 61 |
| 49.9 | 25 |
| 70.7 | 32 |

***

[5]
Starting from a structure optimized by DFT (GGA-PBE), the powder X-ray diffraction pattern of Cu2SiAg was calculated for Cu Kα, 1.54184 Å.
Lines closer than 0.1° are merged.

Cell and atoms:
Cell: 2.785 3.891 5.318 Å, 90.00 102.67 90.00°
Atoms (fractional coordinates):
Cu1 0.114 0.000 0.276
Cu2 0.886 0.000 0.724
Si1 0.500 0.500 0.500
Ag1 0.500 0.500 0.000

Peak list (6 most intense, 2θ = 15–90°, sorted by position)
| 2theta | I/Imax |
| --- | --- |
| 28.7 | 43 |
| 40.5 | 90 |
| 41.1 | 35 |
| 41.9 | 100 |
| 42.6 | 47 |
| 46.7 | 38 |

***

[6]
Starting from a structure optimized by DFT (GGA-PBE), the powder X-ray diffraction pattern of Sm3CuAg was calculated for Cu Kα, 1.54184 Å.
Lines closer than 0.1° are merged.

Cell and atoms:
Cell: 3.870 9.056 9.063 Å, 115.53 90.00 90.00°
Atoms (fractional coordinates):
Sm1 0.000 0.000 0.000
Sm2 0.000 0.153 0.614
Sm3 0.500 0.417 0.966
Sm4 0.500 0.734 0.648
Sm5 0.995 0.383 0.383
Sm6 0.995 0.769 0.230
Cu1 0.493 0.576 0.307
Cu2 0.501 0.075 0.806
Ag1 0.000 0.577 0.808
Ag2 0.497 0.076 0.307

Peak list (6 most intense, 2θ = 15–90°, sorted by position)
| 2theta | I/Imax |
| --- | --- |
| 28.3 | 46 |
| 29.6 | 47 |
| 30.4 | 100 |
| 32.9 | 62 |
| 37.9 | 78 |
| 39.9 | 38 |

***

[7]
Starting from a structure optimized by DFT (GGA-PBE), the powder X-ray diffraction pattern of Sm5Cu2Ag was calculated for Cu Kα, 1.54184 Å.
Lines closer than 0.1° are merged.

Cell and atoms:
Cell: 8.579 8.579 8.579 Å, 123.74 123.74 83.64°
Atoms (fractional coordinates):
Sm1 0.000 0.000 0.000
Sm2 0.015 0.515 0.816
Sm3 0.199 0.015 0.500
Sm4 0.301 0.801 0.816
Sm5 0.485 0.301 0.500
Sm6 0.500 0.500 0.000
Sm7 0.515 0.699 0.500
Sm8 0.699 0.199 0.184
Sm9 0.801 0.985 0.500
Sm10 0.985 0.485 0.184
Cu1 0.124 0.376 0.500
Cu2 0.376 0.876 0.253
Cu3 0.624 0.124 0.747
Cu4 0.876 0.624 0.500
Ag1 0.250 0.250 0.000
Ag2 0.750 0.750 0.000

Peak list (6 most intense, 2θ = 15–90°, sorted by position)
| 2theta | I/Imax |
| --- | --- |
| 25.6 | 25 |
| 32.1 | 24 |
| 32.5 | 100 |
| 35.1 | 66 |
| 35.8 | 34 |
| 56.2 | 28 |

***

[8]
Starting from a structure optimized by DFT (GGA-PBE), the powder X-ray diffraction pattern of SmCu8Ag3 was calculated for Cu Kα, 1.54184 Å.
Lines closer than 0.1° are merged.

Cell and atoms:
Cell: 8.717 8.717 8.717 Å, 33.48 33.48 33.48°
Atoms (fractional coordinates):
Sm1 0.000 0.000 0.000
Cu1 0.187 0.187 0.187
Cu2 0.435 0.435 0.932
Cu3 0.435 0.932 0.435
Cu4 0.442 0.938 0.938
Cu5 0.688 0.688 0.688
Cu6 0.932 0.435 0.435
Cu7 0.938 0.442 0.938
Cu8 0.938 0.938 0.442
Ag1 0.382 0.382 0.382
Ag2 0.500 0.500 0.500
Ag3 0.872 0.872 0.872

Peak list (6 most intense, 2θ = 15–90°, sorted by position)
| 2theta | I/Imax |
| --- | --- |
| 35.7 | 49 |
| 42.2 | 100 |
| 44.2 | 18 |
| 64.2 | 13 |
| 68.6 | 22 |
| 75.8 | 11 |

***

[9]
Starting from a structure optimized by DFT (GGA-PBE), the powder X-ray diffraction pattern of Sm2Zn2Cu5Ag was calculated for Cu Kα, 1.54184 Å.
Lines closer than 0.1° are merged.

Cell and atoms:
Cell: 9.739 9.739 3.689 Å, 90.00 90.00 90.00°
Atoms (fractional coordinates):
Sm1 0.180 0.320 0.000
Sm2 0.320 0.820 0.000
Sm3 0.680 0.180 0.000
Sm4 0.820 0.680 0.000
Zn1 0.117 0.617 0.000
Zn2 0.383 0.117 0.000
Zn3 0.617 0.883 0.000
Zn4 0.883 0.383 0.000
Cu1 0.000 0.500 0.500
Cu2 0.050 0.795 0.500
Cu3 0.205 0.050 0.500
Cu4 0.295 0.550 0.500
Cu5 0.450 0.295 0.500
Cu6 0.500 0.000 0.500
Cu7 0.550 0.705 0.500
Cu8 0.705 0.450 0.500
Cu9 0.795 0.950 0.500
Cu10 0.950 0.205 0.500
Ag1 0.000 0.000 0.000
Ag2 0.500 0.500 0.000

Peak list (6 most intense, 2θ = 15–90°, sorted by position)
| 2theta | I/Imax |
| --- | --- |
| 31.8 | 15 |
| 35.7 | 26 |
| 38.1 | 100 |
| 41.4 | 28 |
| 49.4 | 16 |
| 64.0 | 14 |

***

[10]
Starting from a structure optimized by DFT (GGA-PBE), the powder X-ray diffraction pattern of CuAgSn was calculated for Cu Kα, 1.54184 Å.
Lines closer than 0.1° are merged.

Cell and atoms:
Cell: 3.599 3.599 8.527 Å, 90.00 90.00 90.00°
Atoms (fractional coordinates):
Cu1 0.000 0.000 0.000
Cu2 0.500 0.500 0.500
Ag1 0.000 0.000 0.660
Ag2 0.500 0.500 0.160
Sn1 0.000 0.000 0.334
Sn2 0.500 0.500 0.834

Peak list (6 most intense, 2θ = 15–90°, sorted by position)
| 2theta | I/Imax |
| --- | --- |
| 35.3 | 74 |
| 40.4 | 100 |
| 50.7 | 26 |
| 66.8 | 44 |
| 76.8 | 15 |
| 85.3 | 12 |

***

[11]
Starting from a structure optimized by DFT (GGA-PBE), the powder X-ray diffraction pattern of CuAgSn4 was calculated for Cu Kα, 1.54184 Å.
Lines closer than 0.1° are merged.

Cell and atoms:
Cell: 7.773 7.773 5.869 Å, 105.46 105.46 111.95°
Atoms (fractional coordinates):
Cu1 0.011 0.989 0.750
Cu2 0.989 0.011 0.250
Ag1 0.361 0.639 0.750
Ag2 0.639 0.361 0.250
Sn1 0.051 0.703 0.395
Sn2 0.226 0.361 0.192
Sn3 0.297 0.949 0.105
Sn4 0.361 0.226 0.692
Sn5 0.639 0.774 0.308
Sn6 0.703 0.051 0.895
Sn7 0.774 0.639 0.808
Sn8 0.949 0.297 0.605

Peak list (6 most intense, 2θ = 15–90°, sorted by position)
| 2theta | I/Imax |
| --- | --- |
| 31.6 | 100 |
| 32.8 | 67 |
| 37.4 | 43 |
| 38.0 | 49 |
| 41.2 | 29 |
| 41.7 | 26 |

***

[12]
Starting from a structure optimized by DFT (GGA-PBE), the powder X-ray diffraction pattern of Cu2Ag5Sn4 was calculated for Cu Kα, 1.54184 Å.
Lines closer than 0.1° are merged.

Cell and atoms:
Cell: 7.238 3.426 9.003 Å, 90.00 94.86 90.00°
Atoms (fractional coordinates):
Cu1 0.079 0.000 0.132
Cu2 0.921 0.000 0.868
Ag1 0.156 0.000 0.641
Ag2 0.463 0.000 0.175
Ag3 0.500 0.000 0.500
Ag4 0.537 0.000 0.825
Ag5 0.844 0.000 0.359
Sn1 0.200 0.500 0.362
Sn2 0.233 0.500 0.926
Sn3 0.767 0.500 0.074
Sn4 0.800 0.500 0.638

Peak list (6 most intense, 2θ = 15–90°, sorted by position)
| 2theta | I/Imax |
| --- | --- |
| 34.6 | 97 |
| 35.8 | 100 |
| 36.2 | 98 |
| 37.4 | 82 |
| 41.1 | 53 |
| 53.5 | 46 |

***

[13]
Starting from a structure optimized by DFT (GGA-PBE), the powder X-ray diffraction pattern of SrCu17Ag was calculated for Cu Kα, 1.54184 Å.
Lines closer than 0.1° are merged.

Cell and atoms:
Cell: 6.455 6.455 6.455 Å, 82.97 82.97 82.97°
Atoms (fractional coordinates):
Sr1 0.000 0.000 0.000
Cu1 0.005 0.005 0.496
Cu2 0.005 0.496 0.005
Cu3 0.153 0.658 0.658
Cu4 0.314 0.314 0.793
Cu5 0.314 0.793 0.314
Cu6 0.361 0.650 0.953
Cu7 0.361 0.953 0.650
Cu8 0.496 0.005 0.005
Cu9 0.551 0.551 0.551
Cu10 0.650 0.361 0.953
Cu11 0.650 0.953 0.361
Cu12 0.658 0.153 0.658
Cu13 0.658 0.658 0.153
Cu14 0.746 0.746 0.746
Cu15 0.793 0.314 0.314
Cu16 0.953 0.361 0.650
Cu17 0.953 0.650 0.361
Ag1 0.310 0.310 0.310

Peak list (6 most intense, 2θ = 15–90°, sorted by position)
| 2theta | I/Imax |
| --- | --- |
| 36.4 | 36 |
| 37.7 | 29 |
| 42.3 | 61 |
| 42.6 | 100 |
| 43.5 | 46 |
| 47.8 | 52 |

***

[14]
Starting from a structure optimized by DFT (GGA-PBE), the powder X-ray diffraction pattern of Sr6CuAg2 was calculated for Cu Kα, 1.54184 Å.
Lines closer than 0.1° are merged.

Cell and atoms:
Cell: 7.524 7.524 11.271 Å, 92.50 92.50 34.02°
Atoms (fractional coordinates):
Sr1 0.083 0.083 0.252
Sr2 0.359 0.359 0.422
Sr3 0.360 0.360 0.056
Sr4 0.640 0.640 0.944
Sr5 0.641 0.641 0.578
Sr6 0.917 0.917 0.748
Cu1 0.000 0.000 0.500
Ag1 0.246 0.246 0.777
Ag2 0.754 0.754 0.223

Peak list (6 most intense, 2θ = 15–90°, sorted by position)
| 2theta | I/Imax |
| --- | --- |
| 26.3 | 82 |
| 27.3 | 44 |
| 27.5 | 46 |
| 28.4 | 52 |
| 28.9 | 100 |
| 32.2 | 52 |